No. 1
# SbAsF8
Simulated powder diffractogram, Cu Kα. Input: the PBE geometry in Alexandria.
No peak broadening, texture or thermal motion is included.

Atomic structure:
```
SbAsF8
1.0
5.7413 0.0000 0.0000
0.0000 8.3150 0.0000
-0.7022 0.0000 6.9694
Sb As F
2 2 16
direct
0.2038 0.2500 0.2688 Sb
0.7962 0.7500 0.7312 Sb
0.4970 0.2500 0.7875 As
0.5030 0.7500 0.2125 As
0.0188 0.7500 0.5506 F
0.0203 0.7500 0.9487 F
0.2306 0.0215 0.2723 F
0.2306 0.4785 0.2723 F
0.2936 0.0935 0.7773 F
0.2936 0.4065 0.7773 F
0.4637 0.2500 0.1026 F
0.4637 0.2500 0.4851 F
0.5363 0.7500 0.5149 F
0.5363 0.7500 0.8974 F
0.7064 0.5935 0.2227 F
0.7064 0.9065 0.2227 F
0.7694 0.5215 0.7277 F
0.7694 0.9785 0.7277 F
0.9797 0.2500 0.0513 F
0.9812 0.2500 0.4494 F
```

Principal peaks in the range 2θ from 10° to 80°, by angle:
- 2θ 16.60, I 18
- 2θ 18.85, I 100
- 2θ 19.08, I 20
- 2θ 21.07, I 32
- 2θ 21.37, I 84
- 2θ 21.89, I 50
- 2θ 23.66, I 28
- 2θ 25.56, I 45
- 2θ 30.63, I 31
- 2θ 36.81, I 18
- 2θ 43.52, I 30
- 2θ 47.93, I 17

No. 2
# SbAs3Se4F6
Simulated powder diffractogram, Cu Kα. Input: the PBE geometry in Alexandria.
No peak broadening, texture or thermal motion is included.

Atomic structure:
```
SbAs3Se4F6
1.0
6.5435 0.0000 0.0000
0.0000 10.0670 0.0000
-0.4220 0.0000 10.7387
Sb As Se F
2 6 8 12
direct
0.0128 0.2500 0.3323 Sb
0.9872 0.7500 0.6677 Sb
0.4404 0.7500 0.0185 As
0.4950 0.1251 0.6525 As
0.4950 0.3749 0.6525 As
0.5050 0.6251 0.3475 As
0.5050 0.8749 0.3475 As
0.5596 0.2500 0.9815 As
0.1809 0.2500 0.7171 Se
0.1941 0.2500 0.9346 Se
0.3564 0.5674 0.1521 Se
0.3564 0.9326 0.1521 Se
0.6436 0.0674 0.8479 Se
0.6436 0.4326 0.8479 Se
0.8059 0.7500 0.0654 Se
0.8191 0.7500 0.2829 Se
0.1435 0.6146 0.7533 F
0.1435 0.8854 0.7533 F
0.1738 0.7500 0.5337 F
0.1767 0.1165 0.4179 F
0.1767 0.3835 0.4179 F
0.2053 0.2500 0.2003 F
0.7947 0.7500 0.7997 F
0.8233 0.6165 0.5821 F
0.8233 0.8835 0.5821 F
0.8262 0.2500 0.4663 F
0.8565 0.1146 0.2467 F
0.8565 0.3854 0.2467 F
```

Principal peaks in the range 2θ from 10° to 80°, by angle:
- 2θ 12.05, I 39
- 2θ 16.16, I 33
- 2θ 17.62, I 78
- 2θ 17.92, I 100
- 2θ 18.41, I 80
- 2θ 22.29, I 38
- 2θ 23.59, I 85
- 2θ 27.54, I 38
- 2θ 28.22, I 38
- 2θ 30.65, I 56
- 2θ 46.51, I 40
- 2θ 50.43, I 50

No. 3
# SnSb2As2F18
Simulated powder diffractogram, Cu Kα. Input: the PBE geometry in Alexandria.
No peak broadening, texture or thermal motion is included.

Atomic structure:
```
SnSb2As2F18
1.0
6.1270 0.0000 0.0000
0.0000 12.0204 0.0000
-0.0277 0.0000 11.0701
Sn Sb As F
2 4 4 36
direct
0.0000 0.1382 0.0000 Sn
0.0000 0.8618 0.5000 Sn
0.5081 0.3902 0.0267 Sb
0.5081 0.6098 0.5267 Sb
0.5088 0.0216 0.7350 Sb
0.5088 0.9784 0.2350 Sb
0.1018 0.2577 0.3663 As
0.1018 0.7423 0.8663 As
0.8780 0.3500 0.6979 As
0.8780 0.6500 0.1979 As
0.0235 0.1260 0.4234 F
0.0235 0.8740 0.9234 F
0.0360 0.4550 0.7646 F
0.0360 0.5450 0.2646 F
0.0488 0.2162 0.2098 F
0.0488 0.7838 0.7098 F
0.0936 0.2983 0.6050 F
0.0936 0.7017 0.1050 F
0.2600 0.0735 0.8254 F
0.2600 0.9265 0.3254 F
0.2686 0.2863 0.9952 F
0.2686 0.7137 0.4952 F
0.3213 0.0187 0.1015 F
0.3213 0.9813 0.6015 F
0.3221 0.4853 0.5076 F
0.3221 0.5147 0.0076 F
0.4492 0.3788 0.1945 F
0.4492 0.6212 0.6945 F
0.4738 0.1240 0.3003 F
0.4738 0.8760 0.8003 F
0.5500 0.1665 0.6695 F
0.5500 0.8335 0.1695 F
0.5675 0.3883 0.8569 F
0.5675 0.6117 0.3569 F
0.6946 0.0581 0.8713 F
0.6949 0.2573 0.0402 F
0.6949 0.7427 0.5402 F
0.6946 0.9419 0.3713 F
0.7628 0.0270 0.1455 F
0.7630 0.4787 0.0551 F
0.7630 0.5213 0.5551 F
0.7628 0.9730 0.6455 F
0.8414 0.3171 0.3820 F
0.8414 0.6829 0.8820 F
0.9465 0.2496 0.8168 F
0.9465 0.7504 0.3168 F
```

Principal peaks in the range 2θ from 10° to 80°, by angle:
- 2θ 10.86, I 33
- 2θ 17.64, I 14
- 2θ 18.13, I 17
- 2θ 20.70, I 46
- 2θ 22.22, I 97
- 2θ 22.88, I 100
- 2θ 23.61, I 23
- 2θ 25.25, I 33
- 2θ 26.58, I 15
- 2θ 27.48, I 13
- 2θ 29.16, I 21
- 2θ 42.36, I 13

No. 4
# AsSe2F
Simulated powder diffractogram, Cu Kα. Input: the PBE geometry in Alexandria.
No peak broadening, texture or thermal motion is included.

Atomic structure:
```
AsSe2F
1.0
6.5123 0.0000 0.0000
0.0000 5.3706 0.0000
-5.8596 0.0000 11.0982
As Se F
4 8 4
direct
0.1411 0.0510 0.4133 As
0.1411 0.4490 0.9133 As
0.8589 0.5510 0.0867 As
0.8589 0.9490 0.5867 As
0.1829 0.2298 0.5985 Se
0.1829 0.2702 0.0985 Se
0.4788 0.6218 0.5683 Se
0.4788 0.8782 0.0683 Se
0.5212 0.1218 0.9317 Se
0.5212 0.3782 0.4317 Se
0.8171 0.7298 0.9015 Se
0.8171 0.7702 0.4015 Se
0.0596 0.7256 0.6989 F
0.0596 0.7744 0.1989 F
0.9404 0.2256 0.8011 F
0.9404 0.2744 0.3011 F
```

Principal peaks in the range 2θ from 10° to 80°, by angle:
- 2θ 15.97, I 98
- 2θ 21.46, I 44
- 2θ 22.64, I 53
- 2θ 26.37, I 92
- 2θ 31.83, I 24
- 2θ 32.21, I 100
- 2θ 32.81, I 34
- 2θ 33.07, I 74
- 2θ 39.78, I 24
- 2θ 43.45, I 27
- 2θ 47.35, I 30
- 2θ 50.01, I 31

No. 5
# SiAsF
Simulated powder diffractogram, Cu Kα. Input: the PBE geometry in Alexandria.
No peak broadening, texture or thermal motion is included.

Atomic structure:
```
SiAsF
1.0
3.6774 0.0000 0.0000
0.0000 6.1416 0.0000
0.0000 0.0000 6.0925
Si As F
2 2 2
direct
0.0000 0.0668 0.0000 Si
0.5000 0.9332 0.5000 Si
0.0000 0.1536 0.6150 As
0.5000 0.8464 0.1150 As
0.0000 0.3095 0.1105 F
0.5000 0.6905 0.6105 F
```

Principal peaks in the range 2θ from 10° to 80°, by angle:
- 2θ 14.42, I 100
- 2θ 20.53, I 27
- 2θ 28.30, I 99
- 2θ 29.32, I 48
- 2θ 31.94, I 18
- 2θ 32.66, I 33
- 2θ 38.18, I 27
- 2θ 41.19, I 47
- 2θ 48.86, I 18
- 2θ 49.58, I 15
- 2θ 53.38, I 29
- 2θ 54.16, I 19

No. 6
# SnAsF7
Simulated powder diffractogram, Cu Kα. Input: the PBE geometry in Alexandria.
No peak broadening, texture or thermal motion is included.

Atomic structure:
```
SnAsF7
1.0
4.6717 2.6972 5.7073
-4.6717 2.6972 5.7073
0.0000 -5.3945 5.7073
Sn As F
3 3 21
direct
0.0000 0.7415 0.2585 Sn
0.2585 0.0000 0.7415 Sn
0.7415 0.2585 0.0000 Sn
0.2009 0.2009 0.2009 As
0.5000 0.5000 0.5000 As
0.7991 0.7991 0.7991 As
0.0000 0.1794 0.8206 F
0.0138 0.8642 0.7017 F
0.1028 0.2608 0.4139 F
0.1358 0.9862 0.2983 F
0.1794 0.8206 0.0000 F
0.2608 0.4139 0.1028 F
0.2983 0.1358 0.9862 F
0.3499 0.6189 0.3508 F
0.3508 0.3499 0.6189 F
0.3811 0.6501 0.6492 F
0.4139 0.1028 0.2608 F
0.5861 0.7392 0.8972 F
0.6189 0.3508 0.3499 F
0.6492 0.3811 0.6501 F
0.6501 0.6492 0.3811 F
0.7017 0.0138 0.8642 F
0.7392 0.8972 0.5861 F
0.8206 0.0000 0.1795 F
0.8642 0.7017 0.0138 F
0.8972 0.5861 0.7392 F
0.9862 0.2983 0.1358 F
```

Principal peaks in the range 2θ from 10° to 80°, by angle:
- 2θ 19.00, I 51
- 2θ 23.51, I 25
- 2θ 24.33, I 13
- 2θ 24.63, I 100
- 2θ 29.67, I 26
- 2θ 31.05, I 24
- 2θ 36.91, I 17
- 2θ 41.78, I 18
- 2θ 45.64, I 14
- 2θ 47.60, I 19
- 2θ 53.83, I 12
- 2θ 61.77, I 11

No. 7
# Sr2AsF
Simulated powder diffractogram, Cu Kα. Input: the PBE geometry in Alexandria.
No peak broadening, texture or thermal motion is included.

Atomic structure:
```
Sr2AsF
1.0
6.3018 0.0000 0.0000
0.0000 6.0243 0.0000
-6.1085 0.0000 13.0004
Sr As F
8 4 4
direct
0.1289 0.2010 0.1252 Sr
0.1289 0.7990 0.6252 Sr
0.3436 0.2539 0.9022 Sr
0.3436 0.7461 0.4022 Sr
0.6564 0.2539 0.5978 Sr
0.6564 0.7461 0.0978 Sr
0.8711 0.2010 0.3748 Sr
0.8711 0.7990 0.8748 Sr
0.3626 0.2473 0.3647 As
0.3626 0.7527 0.8647 As
0.6374 0.2473 0.1353 As
0.6374 0.7527 0.6353 As
0.0128 0.1948 0.5743 F
0.0128 0.8052 0.0743 F
0.9872 0.1948 0.9257 F
0.9872 0.8052 0.4257 F
```

Principal peaks in the range 2θ from 10° to 80°, by angle:
- 2θ 16.22, I 42
- 2θ 24.49, I 34
- 2θ 27.44, I 100
- 2θ 28.33, I 99
- 2θ 29.66, I 93
- 2θ 32.90, I 25
- 2θ 37.68, I 34
- 2θ 39.54, I 39
- 2θ 40.85, I 58
- 2θ 41.47, I 58
- 2θ 48.14, I 27
- 2θ 50.20, I 34

No. 8
# TcAsF
Simulated powder diffractogram, Cu Kα. Input: the PBE geometry in Alexandria.
No peak broadening, texture or thermal motion is included.

Atomic structure:
```
TcAsF
1.0
6.3554 0.0000 0.0000
0.0000 5.4117 0.0000
-3.1079 0.0000 5.9278
Tc As F
4 4 4
direct
0.0293 0.0000 0.2534 Tc
0.4587 0.9865 0.2263 Tc
0.5413 0.4865 0.7737 Tc
0.9707 0.5000 0.7466 Tc
0.1585 0.2882 0.5556 As
0.3692 0.7724 0.4844 As
0.6308 0.2724 0.5156 As
0.8415 0.7882 0.4444 As
0.1172 0.1868 0.0107 F
0.3350 0.6742 0.9507 F
0.6650 0.1742 0.0493 F
0.8828 0.6868 0.9893 F
```

Principal peaks in the range 2θ from 10° to 80°, by angle:
- 2θ 14.95, I 25
- 2θ 22.24, I 100
- 2θ 32.12, I 10
- 2θ 32.68, I 26
- 2θ 35.97, I 21
- 2θ 36.26, I 20
- 2θ 36.50, I 14
- 2θ 44.82, I 18
- 2θ 45.35, I 60
- 2θ 46.56, I 14
- 2θ 46.79, I 18
- 2θ 58.87, I 16

No. 9
# TiAsF
Simulated powder diffractogram, Cu Kα. Input: the PBE geometry in Alexandria.
No peak broadening, texture or thermal motion is included.

Atomic structure:
```
TiAsF
1.0
2.5734 -6.8458 0.0000
2.5734 6.8458 0.0000
0.0000 0.0000 3.1430
Ti As F
2 2 2
direct
0.1847 0.8153 0.7500 Ti
0.8153 0.1847 0.2500 Ti
0.3392 0.6608 0.2500 As
0.6608 0.3392 0.7500 As
0.0955 0.9045 0.2500 F
0.9045 0.0955 0.7500 F
```

Principal peaks in the range 2θ from 10° to 80°, by angle:
- 2θ 12.93, I 100
- 2θ 26.05, I 31
- 2θ 31.32, I 49
- 2θ 34.06, I 12
- 2θ 34.86, I 52
- 2θ 37.33, I 14
- 2θ 38.91, I 66
- 2θ 39.49, I 16
- 2θ 47.56, I 30
- 2θ 53.22, I 40
- 2θ 53.68, I 13
- 2θ 70.17, I 12

No. 10
# Tl2AsF5
Simulated powder diffractogram, Cu Kα. Input: the PBE geometry in Alexandria.
No peak broadening, texture or thermal motion is included.

Atomic structure:
```
Tl2AsF5
1.0
-3.2469 3.2469 3.9348
3.2469 -3.2469 3.9348
3.2469 3.2469 -3.9348
Tl As F
2 1 5
direct
0.0000 0.5000 0.5000 Tl
0.5000 0.0000 0.5000 Tl
0.2460 0.2460 0.0000 As
0.0558 0.0558 0.5668 F
0.0558 0.4890 0.0000 F
0.4755 0.4755 0.0000 F
0.4890 0.0558 0.0000 F
0.4890 0.4890 0.4332 F
```

Principal peaks in the range 2θ from 10° to 80°, by angle:
- 2θ 17.71, I 18
- 2θ 19.33, I 59
- 2θ 22.60, I 16
- 2θ 27.47, I 52
- 2θ 29.91, I 100
- 2θ 35.86, I 49
- 2θ 39.24, I 36
- 2θ 44.10, I 16
- 2θ 50.11, I 47
- 2θ 54.54, I 17
- 2θ 62.13, I 17
- 2θ 79.03, I 14

No. 11
# TlAsF5
Simulated powder diffractogram, Cu Kα. Input: the PBE geometry in Alexandria.
No peak broadening, texture or thermal motion is included.

Atomic structure:
```
TlAsF5
1.0
6.0531 0.0000 0.0000
1.5709 5.9056 0.0000
2.7675 2.1635 7.5541
Tl As F
2 2 10
direct
0.0130 0.0046 0.2499 Tl
0.9870 0.9954 0.7501 Tl
0.5000 0.5000 0.0000 As
0.5000 0.5000 0.5000 As
0.1896 0.5341 0.0960 F
0.2308 0.7695 0.5063 F
0.2776 0.2860 0.5684 F
0.4612 0.4151 0.8248 F
0.4703 0.7991 0.8756 F
0.5297 0.2009 0.1244 F
0.5388 0.5849 0.1752 F
0.7224 0.7140 0.4316 F
0.7692 0.2305 0.4937 F
0.8104 0.4659 0.9040 F
```

Principal peaks in the range 2θ from 10° to 80°, by angle:
- 2θ 20.31, I 100
- 2θ 24.01, I 62
- 2θ 24.45, I 68
- 2θ 24.58, I 64
- 2θ 31.52, I 26
- 2θ 31.82, I 52
- 2θ 31.89, I 22
- 2θ 32.09, I 23
- 2θ 32.31, I 22
- 2θ 33.88, I 25
- 2θ 47.45, I 30
- 2θ 48.48, I 21